PaNb2H6: simulated XRD peak list (Cu Kα (λ = 1.5418 Å)), based on a PBE-relaxed structure.
Lines closer than 0.1° are merged.

Top 10 peaks for 2θ = 10–80°, low angle first:
(1 0 0), 2θ 18.13, I 34
(1 1 0), 2θ 31.68, I 100
(1 0 1), 2θ 34.64, I 93
(2 0 0), 2θ 36.74, I 6
(2 0 1), 2θ 47.64, I 38
(3 0 0), 2θ 56.42, I 19
(1 2 1), 2θ 58.35, I 43
(2 2 0), 2θ 66.17, I 12
(1 1 2), 2θ 70.08, I 20
(3 1 1), 2θ 76.89, I 19

Crystal structure
Cell lengths 5.649, 5.649, 3.053 Å; angles 90.00, 90.00, 120.00 degrees
Atoms (fractional coordinates):
Pa: 0.000 0.000 0.000
Nb: 0.333 0.667 0.500
Nb: 0.667 0.333 0.500
H: 0.180 0.438 0.000
H: 0.257 0.820 0.000
H: 0.438 0.257 0.000
H: 0.562 0.743 0.000
H: 0.743 0.180 0.000
H: 0.820 0.562 0.000